Structure and calculated XRD peak list of HoB2C2 (the GGA-PBE geometry in the Materials Project; CuKα).
Neutral-atom scattering factors, no anomalous dispersion.

Principal peaks in the range 2θ from 10° to 90°, low angle first:
| (hkl) | 2θ/deg | d (Å) | I_rel |
| --- | --- | --- | --- |
| 1 0 0 | 23.4 | 3.796 | 95 |
| 0 0 2 | 25.0 | 3.563 | 27 |
| 1 1 0 | 33.4 | 2.684 | 40 |
| 1 0 2 | 34.5 | 2.598 | 100 |
| 1 1 2 | 42.2 | 2.144 | 56 |
| 2 0 0 | 47.9 | 1.898 | 18 |
| 2 1 0 | 54.0 | 1.697 | 29 |
| 2 0 2 | 54.8 | 1.675 | 22 |
| 1 0 4 | 57.1 | 1.613 | 18 |
| 2 1 2 | 60.4 | 1.532 | 28 |
| 1 1 4 | 62.6 | 1.484 | 14 |
| 2 1 4 | 77.7 | 1.229 | 20 |

Crystal structure
a = 3.796 Å, b = 3.796 Å, c = 7.126 Å
α = 90.00°, β = 90.00°, γ = 90.00°
Sites, in units of the cell vectors:
Ho: 0.000 0.000 0.250
Ho: 0.000 0.000 0.750
B: 0.215 0.500 0.000
B: 0.500 0.215 0.500
B: 0.500 0.785 0.500
B: 0.785 0.500 0.000
C: 0.188 0.500 0.500
C: 0.500 0.188 0.000
C: 0.500 0.812 0.000
C: 0.812 0.500 0.500